Structure and computed powder diffractogram of PrDyC4 (a structure optimized by DFT (PBE); a wavelength of 1.5418 Å).
Kinematic intensities with the Lorentz-polarization factor, no thermal factor.

Cell and atoms:
```
data_PrDyC4
_chemical_formula_sum 'Pr1 Dy1 C4'
_cell_length_a 3.7813
_cell_length_b 3.7813
_cell_length_c 6.3794
_cell_angle_alpha 90.00
_cell_angle_beta 90.00
_cell_angle_gamma 90.00
_space_group_name_H-M_alt 'P 4/m m m'
_space_group_IT_number 123
_space_group_name_Hall '-P 4 2'
loop_
_atom_site_label
_atom_site_type_symbol
_atom_site_fract_x
_atom_site_fract_y
_atom_site_fract_z
_atom_site_occupancy
Pr1 Pr 0.0000 0.0000 0.0000 1
Dy1 Dy 0.5000 0.5000 0.5000 1
C1 C 0.0000 0.0000 0.3987 1
C2 C 0.5000 0.5000 0.1025 1
```

Peak list (10 most intense, 2θ = 15–90°, most intense first)
two_theta, d/Å, I (rel.)
27.4, 3.253, 100
33.5, 2.674, 51
44.2, 2.049, 39
28.0, 3.190, 34
56.3, 1.635, 29
49.2, 1.853, 29
71.2, 1.324, 19
56.6, 1.626, 18
48.1, 1.891, 18
87.0, 1.120, 11

Structure and computed powder diffractogram of Dy12Re5C15 (a structure optimized by DFT (PBE); a wavelength of 1.5418 Å).
Kinematic intensities with the Lorentz-polarization factor, no thermal factor.

Cell and atoms:
```
data_Dy12Re5C15
_chemical_formula_sum 'Dy12 Re5 C15'
_cell_length_a 10.7366
_cell_length_b 10.7366
_cell_length_c 5.1042
_cell_angle_alpha 90.00
_cell_angle_beta 90.00
_cell_angle_gamma 120.00
_space_group_name_H-M_alt 'P -6 2 m'
_space_group_IT_number 189
_space_group_name_Hall 'P -6 -2'
loop_
_atom_site_label
_atom_site_type_symbol
_atom_site_fract_x
_atom_site_fract_y
_atom_site_fract_z
_atom_site_occupancy
Dy1 Dy 0.0000 0.4263 0.0000 1
Dy2 Dy 0.0000 0.7947 0.0000 1
Dy3 Dy 0.1857 0.7299 0.5000 1
Re1 Re 0.0000 0.1517 0.5000 1
Re2 Re 0.3333 0.6667 0.0000 1
C1 C 0.0000 0.3330 0.5000 1
C2 C 0.0000 0.4593 0.5000 1
C3 C 0.0000 0.7843 0.5000 1
C4 C 0.1895 0.7218 0.0000 1
```

Peak list (10 most intense, 2θ = 15–90°, most intense first)
two_theta, d/Å, I (rel.)
30.9, 2.895, 100
34.8, 2.579, 40
35.2, 2.552, 37
50.3, 1.814, 28
33.8, 2.649, 22
60.5, 1.531, 15
37.9, 2.376, 15
58.1, 1.588, 12
63.5, 1.465, 11
39.1, 2.302, 9

Structure and computed powder diffractogram of DyRe2SiC (a structure optimized by DFT (PBE); a wavelength of 1.5418 Å).
Kinematic intensities with the Lorentz-polarization factor, no thermal factor.

Cell and atoms:
```
data_DyRe2SiC
_chemical_formula_sum 'Dy4 Re8 Si4 C4'
_cell_length_a 3.9458
_cell_length_b 10.9030
_cell_length_c 7.3026
_cell_angle_alpha 90.00
_cell_angle_beta 90.00
_cell_angle_gamma 90.00
_space_group_name_H-M_alt 'C m c m'
_space_group_IT_number 63
_space_group_name_Hall '-C 2c 2'
loop_
_atom_site_label
_atom_site_type_symbol
_atom_site_fract_x
_atom_site_fract_y
_atom_site_fract_z
_atom_site_occupancy
Dy1 Dy 0.0000 0.0437 0.2500 1
Re1 Re 0.0000 0.3262 0.0608 1
Si1 Si 0.0000 0.2346 0.7500 1
C1 C 0.0000 0.5000 0.0000 1
```

Peak list (10 most intense, 2θ = 15–90°, most intense first)
two_theta, d/Å, I (rel.)
33.5, 2.673, 100
34.5, 2.602, 76
29.4, 3.034, 42
40.6, 2.223, 36
44.5, 2.035, 35
35.1, 2.554, 34
46.0, 1.973, 32
27.0, 3.308, 31
61.8, 1.502, 24
63.0, 1.475, 20

Structure and computed powder diffractogram of DyRh3C (a structure optimized by DFT (PBE); a wavelength of 1.5418 Å).
Kinematic intensities with the Lorentz-polarization factor, no thermal factor.

Cell and atoms:
```
data_DyRh3C
_chemical_formula_sum 'Dy1 Rh3 C1'
_cell_length_a 4.1829
_cell_length_b 4.1829
_cell_length_c 4.1829
_cell_angle_alpha 90.00
_cell_angle_beta 90.00
_cell_angle_gamma 90.00
_space_group_name_H-M_alt 'P m -3 m'
_space_group_IT_number 221
_space_group_name_Hall '-P 4 2 3'
loop_
_atom_site_label
_atom_site_type_symbol
_atom_site_fract_x
_atom_site_fract_y
_atom_site_fract_z
_atom_site_occupancy
Dy1 Dy 0.0000 0.0000 0.0000 1
Rh1 Rh 0.0000 0.5000 0.5000 1
C1 C 0.5000 0.5000 0.5000 1
```

Peak list (10 most intense, 2θ = 15–90°, most intense first)
two_theta, d/Å, I (rel.)
37.2, 2.415, 100
43.3, 2.091, 53
75.4, 1.261, 38
62.8, 1.479, 34
79.4, 1.208, 12
30.2, 2.958, 5
21.2, 4.183, 2
53.7, 1.708, 2
48.7, 1.871, 1
87.2, 1.118, 1

Structure and computed powder diffractogram of Dy7Ru2C11 (a structure optimized by DFT (PBE); a wavelength of 1.5418 Å).
Kinematic intensities with the Lorentz-polarization factor, no thermal factor.

Cell and atoms:
```
data_Dy7Ru2C11
_chemical_formula_sum 'Dy28 Ru8 C44'
_cell_length_a 3.4476
_cell_length_b 16.5853
_cell_length_c 19.9723
_cell_angle_alpha 90.00
_cell_angle_beta 90.00
_cell_angle_gamma 90.00
_space_group_name_H-M_alt 'C m c m'
_space_group_IT_number 63
_space_group_name_Hall '-C 2c 2'
loop_
_atom_site_label
_atom_site_type_symbol
_atom_site_fract_x
_atom_site_fract_y
_atom_site_fract_z
_atom_site_occupancy
Dy1 Dy 0.0000 0.0226 0.1271 1
Dy2 Dy 0.0000 0.1612 0.5193 1
Dy3 Dy 0.0000 0.2218 0.1552 1
Dy4 Dy 0.0000 0.3977 0.2500 1
Ru1 Ru 0.0000 0.4187 0.7500 1
Ru2 Ru 0.0000 0.5000 0.0000 1
C1 C 0.0000 0.0045 0.2500 1
C2 C 0.0000 0.2213 0.7500 1
C3 C 0.0000 0.2942 0.5632 1
C4 C 0.0000 0.3016 0.7500 1
C5 C 0.0000 0.3675 0.1226 1
C6 C 0.0000 0.3729 0.5840 1
C7 C 0.0000 0.4264 0.0792 1
```

Peak list (10 most intense, 2θ = 15–90°, most intense first)
two_theta, d/Å, I (rel.)
28.0, 3.191, 100
37.6, 2.390, 70
32.0, 2.796, 68
34.8, 2.578, 58
35.6, 2.524, 57
33.6, 2.664, 55
53.1, 1.725, 50
31.9, 2.807, 48
26.8, 3.328, 45
41.1, 2.197, 44

Structure and computed powder diffractogram of TbDyC4 (a structure optimized by DFT (PBE); a wavelength of 1.5418 Å).
Kinematic intensities with the Lorentz-polarization factor, no thermal factor.

Cell and atoms:
```
data_TbDyC4
_chemical_formula_sum 'Tb2 Dy2 C8'
_cell_length_a 7.2414
_cell_length_b 3.6799
_cell_length_c 7.2356
_cell_angle_alpha 90.00
_cell_angle_beta 118.65
_cell_angle_gamma 90.00
_space_group_name_H-M_alt 'C 1 2/m 1'
_space_group_IT_number 12
loop_
_space_group_symop_operation_xyz
'x,y,z'
'-x,-y,-z'
'-x,y,-z'
'x,-y,z'
'x+1/2,y+1/2,z'
'-x+1/2,-y+1/2,-z'
'-x+1/2,y+1/2,-z'
'x+1/2,-y+1/2,z'
loop_
_atom_site_label
_atom_site_type_symbol
_atom_site_fract_x
_atom_site_fract_y
_atom_site_fract_z
_atom_site_occupancy
Tb1 Tb 0.0000 0.0000 0.0000 1
Dy1 Dy 0.0000 0.5000 0.5000 1
C1 C 0.1974 0.0000 0.8014 1
C2 C 0.1976 0.5000 0.3030 1
```

Peak list (10 most intense, 2θ = 15–90°, most intense first)
two_theta, d/Å, I (rel.)
28.1, 3.176, 100
28.2, 3.168, 99
34.4, 2.607, 97
45.4, 1.999, 74
28.7, 3.113, 65
50.5, 1.808, 56
57.8, 1.595, 29
57.9, 1.592, 29
73.3, 1.292, 18
73.4, 1.290, 18

Structure and computed powder diffractogram of DyYC4 (a structure optimized by DFT (PBE); a wavelength of 1.5418 Å).
Kinematic intensities with the Lorentz-polarization factor, no thermal factor.

Cell and atoms:
```
data_DyYC4
_chemical_formula_sum 'Dy2 Y2 C8'
_cell_length_a 5.1900
_cell_length_b 6.2154
_cell_length_c 5.1989
_cell_angle_alpha 90.00
_cell_angle_beta 90.00
_cell_angle_gamma 90.00
_space_group_name_H-M_alt 'C m m m'
_space_group_IT_number 65
_space_group_name_Hall '-C 2 2'
loop_
_atom_site_label
_atom_site_type_symbol
_atom_site_fract_x
_atom_site_fract_y
_atom_site_fract_z
_atom_site_occupancy
Dy1 Dy 0.0000 0.0000 0.0000 1
Y1 Y 0.0000 0.5000 0.5000 1
C1 C 0.0000 0.1048 0.5000 1
C2 C 0.0000 0.3951 0.0000 1
```

Peak list (10 most intense, 2θ = 15–90°, most intense first)
two_theta, d/Å, I (rel.)
28.2, 3.162, 100
34.5, 2.597, 55
45.5, 1.993, 40
28.7, 3.108, 36
50.6, 1.805, 30
58.1, 1.588, 29
73.6, 1.287, 19
58.4, 1.581, 19
49.6, 1.837, 19
22.3, 3.984, 9

Structure and computed powder diffractogram of Er4C7 (a structure optimized by DFT (PBE); a wavelength of 1.5418 Å).
Kinematic intensities with the Lorentz-polarization factor, no thermal factor.

Cell and atoms:
```
data_Er4C7
_chemical_formula_sum 'Er8 C14'
_cell_length_a 3.6774
_cell_length_b 13.6655
_cell_length_c 6.4006
_cell_angle_alpha 90.00
_cell_angle_beta 104.94
_cell_angle_gamma 90.00
_space_group_name_H-M_alt 'P 1 21/c 1'
_space_group_IT_number 14
loop_
_space_group_symop_operation_xyz
'x,y,z'
'-x,-y,-z'
'-x,y+1/2,-z+1/2'
'x,-y+1/2,z+1/2'
loop_
_atom_site_label
_atom_site_type_symbol
_atom_site_fract_x
_atom_site_fract_y
_atom_site_fract_z
_atom_site_occupancy
Er1 Er 0.0534 0.1618 0.1602 1
Er2 Er 0.3655 0.0548 0.7392 1
C1 C 0.0000 0.0000 0.0000 1
C2 C 0.2625 0.6051 0.0469 1
C3 C 0.3795 0.6974 0.0453 1
C4 C 0.4627 0.2149 0.9240 1
```

Peak list (10 most intense, 2θ = 15–90°, most intense first)
two_theta, d/Å, I (rel.)
29.9, 2.990, 100
34.8, 2.580, 46
33.8, 2.652, 39
32.3, 2.773, 36
28.7, 3.111, 34
28.9, 3.092, 31
28.3, 3.152, 27
32.8, 2.730, 25
50.1, 1.821, 21
29.6, 3.016, 19

Structure and computed powder diffractogram of ErFe2SiC (a structure optimized by DFT (PBE); a wavelength of 1.5418 Å).
Kinematic intensities with the Lorentz-polarization factor, no thermal factor.

Cell and atoms:
```
data_ErFe2SiC
_chemical_formula_sum 'Er4 Fe8 Si4 C4'
_cell_length_a 3.7041
_cell_length_b 10.4252
_cell_length_c 6.7383
_cell_angle_alpha 90.00
_cell_angle_beta 90.00
_cell_angle_gamma 90.00
_space_group_name_H-M_alt 'C m c m'
_space_group_IT_number 63
_space_group_name_Hall '-C 2c 2'
loop_
_atom_site_label
_atom_site_type_symbol
_atom_site_fract_x
_atom_site_fract_y
_atom_site_fract_z
_atom_site_occupancy
Er1 Er 0.0000 0.0473 0.2500 1
Fe1 Fe 0.0000 0.3346 0.0621 1
Si1 Si 0.0000 0.2327 0.7500 1
C1 C 0.0000 0.5000 0.0000 1
```

Peak list (10 most intense, 2θ = 15–90°, most intense first)
two_theta, d/Å, I (rel.)
37.1, 2.424, 100
35.4, 2.534, 51
37.9, 2.372, 50
37.0, 2.431, 46
31.6, 2.830, 32
43.9, 2.062, 32
49.2, 1.852, 25
25.5, 3.490, 22
66.2, 1.413, 21
63.1, 1.473, 19